Na5LiFe2P2C2O14: computed powder diffraction line list (Cu Kα (λ = 1.5418 Å)), based on a GGA+U-relaxed structure.
Peak positions follow from Bragg's law for the DFT cell and can differ from measured ones.

Top 10 peaks for 2θ = 10–90°, by angle:
| hkl | Position (°2θ) | I/Imax |
| --- | --- | --- |
| 1 0 -2 | 19.48 | 33 |
| 1 0 2 | 19.76 | 31 |
| 2 0 -2 | 26.00 | 29 |
| 0 2 0 | 26.82 | 100 |
| 1 2 -2 | 33.37 | 40 |
| 2 2 0 | 33.59 | 73 |
| 0 0 4 | 34.17 | 67 |
| 2 1 -4 | 41.95 | 41 |
| 4 2 0 | 49.18 | 44 |
| 0 4 0 | 55.27 | 29 |

Structure:
Lattice parameters (Å, degrees): 8.927 6.648 10.499 90.00 90.91 90.00
Fractional positions:
Na (0.083, 0.000, 0.373)
Na (0.087, 0.992, 0.865)
Na (0.259, 0.734, 0.623)
Na (0.263, 0.239, 0.125)
Na (0.263, 0.748, 0.124)
Na (0.737, 0.248, 0.876)
Na (0.737, 0.739, 0.875)
Na (0.741, 0.234, 0.377)
Na (0.913, 0.492, 0.135)
Na (0.917, 0.500, 0.627)
Li (0.300, 0.196, 0.646)
Li (0.700, 0.696, 0.354)
Fe (0.345, 0.486, 0.363)
Fe (0.352, 0.491, 0.857)
Fe (0.648, 0.991, 0.143)
Fe (0.655, 0.986, 0.637)
P (0.416, 0.984, 0.402)
P (0.418, 0.992, 0.893)
P (0.582, 0.492, 0.107)
P (0.584, 0.484, 0.598)
C (0.045, 0.506, 0.383)
C (0.059, 0.495, 0.890)
C (0.941, 0.995, 0.110)
C (0.955, 0.006, 0.617)
O (0.085, 0.993, 0.095)
O (0.100, 0.020, 0.615)
O (0.115, 0.489, 0.275)
O (0.116, 0.505, 0.777)
O (0.125, 0.505, 0.488)
O (0.150, 0.488, 0.989)
O (0.314, 0.801, 0.367)
O (0.321, 0.176, 0.847)
O (0.325, 0.803, 0.855)
O (0.329, 0.173, 0.353)
O (0.427, 0.464, 0.659)
O (0.428, 0.495, 0.171)
O (0.436, 0.998, 0.550)
O (0.438, 0.999, 0.041)
O (0.562, 0.499, 0.959)
O (0.564, 0.498, 0.450)
O (0.572, 0.995, 0.829)
O (0.573, 0.964, 0.341)
O (0.671, 0.673, 0.647)
O (0.675, 0.303, 0.145)
O (0.679, 0.676, 0.153)
O (0.686, 0.301, 0.633)
O (0.850, 0.988, 0.011)
O (0.875, 0.005, 0.512)
O (0.884, 0.005, 0.223)
O (0.885, 0.989, 0.725)
O (0.900, 0.520, 0.385)
O (0.915, 0.493, 0.905)